Starting from a cell relaxed with PBE+U, the powder diffractogram of AlGaCoO4 was computed for copper Kα.
Intensities are scaled so that the largest is 1000.

The 6 most intense peaks (2θ from 10° to 90°), low angle first:
| 2theta | I_rel | (hkl) |
| --- | --- | --- |
| 18.71 | 861 | 1 0 1 |
| 36.19 | 1000 | 2 1 1 |
| 36.42 | 497 | 1 0 3 |
| 37.94 | 293 | 2 0 2 |
| 43.96 | 549 | 2 2 0 |
| 64.23 | 531 | 2 2 4 |

Crystal structure
Lattice parameters (Å, degrees): 5.8256 5.8256 8.1682 90.00 90.00 90.00
Sites, in units of the cell vectors:
Al (0.2433, 0.2433, 0.3750)
Al (0.2433, 0.7567, 0.1250)
Al (0.7567, 0.2433, 0.6250)
Al (0.7567, 0.7567, 0.8750)
Ga (0.0000, 0.2583, 0.0000)
Ga (0.0000, 0.7417, 0.5000)
Ga (0.2583, 0.0000, 0.7500)
Ga (0.7417, 0.0000, 0.2500)
Co (0.2589, 0.5000, 0.7500)
Co (0.5000, 0.2589, 0.0000)
Co (0.5000, 0.7411, 0.5000)
Co (0.7411, 0.5000, 0.2500)
O (0.0072, 0.2393, 0.7566)
O (0.0072, 0.7607, 0.7434)
O (0.2381, 0.5000, 0.0041)
O (0.2381, 0.5000, 0.4959)
O (0.2393, 0.0072, 0.9934)
O (0.2393, 0.9928, 0.5066)
O (0.5000, 0.2381, 0.2541)
O (0.5000, 0.2381, 0.7459)
O (0.5000, 0.7619, 0.2459)
O (0.5000, 0.7619, 0.7541)
O (0.7607, 0.0072, 0.0066)
O (0.7607, 0.9928, 0.4934)
O (0.7619, 0.5000, 0.5041)
O (0.7619, 0.5000, 0.9959)
O (0.9928, 0.2393, 0.2434)
O (0.9928, 0.7607, 0.2566)